For KMnCl4, a cell relaxed with PBE gives the calculated PXRD pattern in this record (CuKα).
Kinematic intensities with the Lorentz-polarization factor, no thermal factor.

Structure:
```
KMnCl4
1.0
6.9125 0.0000 0.0000
0.0000 6.9125 0.0000
0.0000 0.0000 8.2839
K Mn Cl
2 2 8
Direct
0.2500 0.7500 0.2500
0.7500 0.2500 0.7500
0.2500 0.7500 0.7500
0.7500 0.2500 0.2500
0.0010 0.2500 0.0823
0.2500 0.0010 0.5823
0.2500 0.4990 0.5823
0.4990 0.2500 0.0823
0.5010 0.7500 0.9177
0.7500 0.5010 0.4177
0.7500 0.9990 0.4177
0.9990 0.7500 0.9177
```

The 10 most intense peaks (2θ = 10–90°), in order of falling intensity:
Position (°2θ)	d/Å	Rel. int.
27.97	3.190	100
18.15	4.888	86
16.70	5.307	60
28.24	3.160	58
42.97	2.105	50
25.78	3.456	36
33.78	2.654	35
25.06	3.553	34
43.97	2.059	25
52.99	1.728	25


For Sm10DyEr6, a cell relaxed with PBE gives the calculated PXRD pattern in this record (CuKα).
Kinematic intensities with the Lorentz-polarization factor, no thermal factor.

Structure:
```
Sm10DyEr6
1.0
9.7361 0.0000 0.0000
-4.8680 8.4317 0.0000
0.0000 0.0000 6.8414
Sm Dy Er
10 1 6
Direct
0.0000 0.2752 0.3154
0.0000 0.7248 0.6846
0.2752 0.0000 0.3154
0.2752 0.2752 0.6846
0.3333 0.6667 0.0000
0.3333 0.6667 0.5000
0.6667 0.3333 0.0000
0.6667 0.3333 0.5000
0.7248 0.0000 0.6846
0.7248 0.7248 0.3154
0.0000 0.0000 0.0000
0.0000 0.3722 0.8076
0.0000 0.6278 0.1924
0.3722 0.0000 0.8076
0.3722 0.3722 0.1924
0.6278 0.0000 0.1924
0.6278 0.6278 0.8076
```

The 10 most intense peaks (2θ = 10–90°), in order of falling intensity:
Position (°2θ)	d/Å	Rel. int.
31.98	2.799	100
31.84	2.811	80
30.96	2.889	43
45.75	1.983	26
56.79	1.621	24
57.08	1.614	18
48.93	1.861	13
62.85	1.479	11
40.78	2.213	11
59.57	1.552	9


For HgPd7Pt3, a cell relaxed with PBE gives the calculated PXRD pattern in this record (CuKα).
Kinematic intensities with the Lorentz-polarization factor, no thermal factor.

Structure:
```
HgPd7Pt3
1.0
4.7369 -4.8473 0.0000
4.7369 4.8473 0.0000
-2.5232 0.0000 4.2015
Hg Pd Pt
1 7 3
Direct
0.0000 0.0000 0.0000
0.0000 0.0000 0.5000
0.0944 0.5591 0.8266
0.3291 0.3291 0.3322
0.4409 0.9056 0.1734
0.5591 0.0944 0.8266
0.6709 0.6709 0.6678
0.9056 0.4409 0.1734
0.2668 0.7332 0.5000
0.5000 0.5000 0.0000
0.7332 0.2668 0.5000
```

The 10 most intense peaks (2θ = 10–90°), in order of falling intensity:
Position (°2θ)	d/Å	Rel. int.
42.46	2.129	100
36.67	2.450	53
37.09	2.424	46
53.15	1.723	33
28.13	3.172	22
21.89	4.061	22
70.55	1.335	17
40.13	2.247	12
69.92	1.345	11
70.10	1.342	11


For La5InAu, a cell relaxed with PBE gives the calculated PXRD pattern in this record (CuKα).
Kinematic intensities with the Lorentz-polarization factor, no thermal factor.

Structure:
```
La5InAu
1.0
5.5811 -3.5794 0.0000
5.5811 3.5794 0.0000
-3.2316 0.0000 11.6878
La In Au
10 2 2
Direct
0.0311 0.9689 0.7500
0.0489 0.4096 0.6476
0.2277 0.4934 0.9429
0.4096 0.0489 0.1476
0.4934 0.2277 0.4429
0.5066 0.7723 0.5571
0.5904 0.9511 0.8524
0.7723 0.5066 0.0571
0.9511 0.5904 0.3524
0.9689 0.0311 0.2500
0.4453 0.5547 0.2500
0.5547 0.4453 0.7500
0.0000 0.0000 0.0000
0.0000 0.0000 0.5000
```

The 10 most intense peaks (2θ = 10–90°), in order of falling intensity:
Position (°2θ)	d/Å	Rel. int.
30.67	2.915	100
29.83	2.995	76
29.99	2.980	75
39.84	2.263	42
29.18	3.061	41
34.98	2.565	32
34.01	2.636	30
27.82	3.206	30
42.62	2.122	29
25.36	3.512	24


Copy entry 1 word for word.
For KMnCl4, a cell relaxed with PBE gives the calculated PXRD pattern in this record (CuKα).
Kinematic intensities with the Lorentz-polarization factor, no thermal factor.

Structure:
```
KMnCl4
1.0
6.9125 0.0000 0.0000
0.0000 6.9125 0.0000
0.0000 0.0000 8.2839
K Mn Cl
2 2 8
Direct
0.2500 0.7500 0.2500
0.7500 0.2500 0.7500
0.2500 0.7500 0.7500
0.7500 0.2500 0.2500
0.0010 0.2500 0.0823
0.2500 0.0010 0.5823
0.2500 0.4990 0.5823
0.4990 0.2500 0.0823
0.5010 0.7500 0.9177
0.7500 0.5010 0.4177
0.7500 0.9990 0.4177
0.9990 0.7500 0.9177
```

The 10 most intense peaks (2θ = 10–90°), in order of falling intensity:
Position (°2θ)	d/Å	Rel. int.
27.97	3.190	100
18.15	4.888	86
16.70	5.307	60
28.24	3.160	58
42.97	2.105	50
25.78	3.456	36
33.78	2.654	35
25.06	3.553	34
43.97	2.059	25
52.99	1.728	25


Which formula does entry 3 have?
HgPd7Pt3